This entry pairs a crystal structure of La3TaCo2O9 with its calculated powder diffraction line list. Radiation: Cu Kα (λ = 1.5418 Å). Structure: a structure optimized by DFT (GGA+U).
Peak positions follow from Bragg's law for the DFT cell and can differ from measured ones.

Main lines, sorted by position (15° ≤ 2θ ≤ 90°):
2θ (°)	Rel. int.	(hkl)
30.93	22.9	0 2 0
31.42	100.0	2 1 -5
31.80	24.2	0 0 6
44.95	22.3	0 2 6
45.12	13.2	4 0 -4
55.32	13.1	2 3 1
55.70	9.4	4 2 -4
56.35	16.0	4 0 -10
56.45	10.4	2 1 -11
74.64	8.2	6 1 -9

Crystal structure
```
data_La3TaCo2O9
_chemical_formula_sum 'La12 Ta4 Co8 O36'
_space_group_name_H-M_alt 'P 1 21/c 1'
_space_group_IT_number 14
_space_group_name_Hall '-P 2ybc'
_cell_length_a 8.038
_cell_length_b 5.783
_cell_length_c 18.690
_cell_angle_alpha 90.00
_cell_angle_beta 115.38
_cell_angle_gamma 90.00
loop_
_atom_site_label
_atom_site_type_symbol
_atom_site_fract_x
_atom_site_fract_y
_atom_site_fract_z
La1 La 0.077 0.044 0.338
La2 La 0.235 0.559 0.504
La3 La 0.391 0.051 0.655
Ta1 Ta 0.336 0.501 0.333
Co1 Co 0.000 0.000 0.500
Co2 Co 0.170 0.504 0.670
Co3 Co 0.500 0.000 0.500
O1 O 0.117 0.198 0.069
O2 O 0.124 0.028 0.863
O3 O 0.145 0.703 0.103
O4 O 0.191 0.197 0.737
O5 O 0.216 0.714 0.770
O6 O 0.227 0.533 0.972
O7 O 0.447 0.216 0.397
O8 O 0.463 0.028 0.201
O9 O 0.481 0.694 0.427
```